Diffraction record for Nd8Sm3. The powder diffractogram is computed, not measured: it uses a structure optimized by DFT (PBE) and Cu Kα, 1.54184 Å.

Structural model:
a b c (Å): 6.3688 6.3688 13.2292
angles (deg): 103.79 103.79 47.94
Sites, in units of the cell vectors:
Nd 0.0455 0.0455 0.3181
Nd 0.1363 0.1363 0.9546
Nd 0.2275 0.2275 0.5911
Nd 0.3183 0.3183 0.2273
Nd 0.6817 0.6817 0.7727
Nd 0.7725 0.7725 0.4089
Nd 0.8637 0.8637 0.0454
Nd 0.9545 0.9545 0.6819
Sm 0.4093 0.4093 0.8642
Sm 0.5000 0.5000 0.5000
Sm 0.5907 0.5907 0.1358

The 6 most intense peaks (2θ from 10° to 90°), by angle:
two_theta	Rel. int.
29.81	100
34.43	17
34.62	34
49.63	24
58.85	15
59.04	14